Diffraction record for LiCoPO4. The powder diffractogram is computed, not measured: it uses a structure optimized by DFT (GGA+U) and CuKα.

Atomic structure:
```
LiCoPO4
1.0
4.2880 0.0000 0.0000
-0.0050 4.8222 0.0000
-0.0051 -0.0033 14.6995
Li Co P O
4 4 4 16
Direct
0.0000 0.0000 0.0000
0.0020 0.5024 0.4974
0.4867 0.4998 0.9980
0.4892 0.0023 0.4994
0.0379 0.4439 0.8092
0.0376 0.9454 0.6882
0.4535 0.4463 0.3090
0.4531 0.9459 0.1881
0.4991 0.9888 0.8620
0.5005 0.4905 0.6355
0.9890 0.4892 0.1359
0.9902 0.9907 0.3614
0.1858 0.7241 0.0880
0.1873 0.2258 0.4091
0.2240 0.3075 0.1910
0.2246 0.8082 0.3062
0.2655 0.3079 0.6906
0.2649 0.8067 0.8063
0.3016 0.2229 0.9098
0.3039 0.7257 0.5879
0.6668 0.8069 0.9325
0.6685 0.3097 0.5648
0.7386 0.1300 0.7974
0.7401 0.6302 0.7005
0.7503 0.1306 0.2967
0.7497 0.6301 0.2006
0.8201 0.3073 0.0655
0.8220 0.8093 0.4320
```

Top 12 peaks for 2θ = 5–70°, low angle first:
Position (°2θ), I (rel.), h k l
12.04, 100.0, 0 0 2
27.64, 29.7, 1 0 3
28.51, 32.1, 1 1 -1
30.59, 15.3, 0 1 4
33.41, 86.7, 1 1 3
37.25, 29.8, 0 2 0
41.34, 9.5, 0 1 6
41.69, 11.0, 1 1 -5
43.50, 9.3, 1 2 -1
57.52, 14.3, 2 2 0
60.51, 13.5, 2 1 6
64.80, 9.6, 1 3 -3